Starting from the PBE geometry in Alexandria, the X-ray powder pattern of Y12HoEr5 was simulated for Cu Ka.

Main lines, low angle first (10 to 80 degrees two-theta):
2theta, I (rel.)
30.2, 47
31.1, 71
32.1, 100
33.8, 90
51.3, 51
61.2, 60

Atomic structure:
Cell: 6.1721 6.1721 17.3951 Å, 93.39 93.39 120.00°
Positions (direct):
Y 0.0549 0.3884 0.1656
Y 0.1114 0.1114 0.3332
Y 0.2220 0.5553 0.6668
Y 0.2786 0.2786 0.8344
Y 0.3884 0.0549 0.1656
Y 0.4447 0.7780 0.3332
Y 0.5553 0.2220 0.6668
Y 0.6116 0.9451 0.8344
Y 0.7214 0.7214 0.1656
Y 0.7780 0.4447 0.3332
Y 0.8886 0.8886 0.6668
Y 0.9451 0.6116 0.8344
Ho 0.0000 0.0000 0.0000
Er 0.1666 0.8334 0.5000
Er 0.3333 0.6667 0.0000
Er 0.5000 0.5000 0.5000
Er 0.6667 0.3333 0.0000
Er 0.8334 0.1666 0.5000